Record 1
Structure and simulated powder X-ray diffraction pattern of Li4ZnP2S8 (the GGA-PBE geometry in the Materials Project; copper Kα).
Neutral-atom scattering factors, no anomalous dispersion.

Most intense lines, 2θ from 10° to 90°, most intense first:
2θ/deg  d/Å  I (rel.)  hkl
17.8  4.981  100  1 1 0
26.5  3.366  96  1 -2 0
29.0  3.079  95  0 0 6
18.3  4.860  94  0 1 3
30.3  2.950  66  1 2 -3
27.8  3.204  63  2 0 0
45.9  1.978  37  0 4 0
52.3  1.749  33  1 2 -9
48.5  1.877  28  3 -2 0
48.4  1.882  28  3 2 0
57.5  1.602  27  -3 2 6
30.1  2.965  26  1 2 3

Atomic structure:
Lattice parameters (Å, degrees): 6.4087 7.9128 18.4740 89.74 89.77 89.80
Space group P1 (No. 1)
One atom of each set of equivalent atoms:
Li: 0.0000 0.0000 0.0000
Li: 0.0005 0.5075 0.9984
Li: 0.3598 0.5073 0.1716
Li: 0.3682 0.0146 0.1689
Li: 0.3773 0.0269 0.5045
Li: 0.3829 0.0163 0.8290
Li: 0.3849 0.4989 0.8306
Li: 0.5414 0.2585 0.0079
Li: 0.5574 0.2914 0.3377
Li: 0.8362 0.7382 0.1743
Li: 0.8389 0.7580 0.8394
Li: 0.9959 0.5176 0.6687
Zn: 0.3863 0.5209 0.4993
Zn: 0.9901 0.0149 0.6646
Zn: 0.9941 0.0104 0.3379
P: 0.4901 0.7638 0.6636
P: 0.5051 0.7569 0.0016
P: 0.5151 0.7736 0.3360
P: 0.8646 0.2615 0.1718
P: 0.8710 0.2528 0.8326
P: 0.8840 0.2686 0.4996
S: 0.0013 0.0409 0.5360
S: 0.0030 0.0346 0.2083
S: 0.0071 0.4626 0.2158
S: 0.0193 0.4688 0.8667
S: 0.0216 0.0388 0.8684
S: 0.0296 0.4819 0.5375
S: 0.3514 0.9872 0.6968
S: 0.3581 0.5433 0.0397
S: 0.3591 0.5608 0.3726
S: 0.3601 0.9932 0.3711
S: 0.3607 0.9729 0.0384
S: 0.3669 0.5471 0.7002
S: 0.4882 0.7635 0.2250
S: 0.4899 0.7567 0.8900
S: 0.5142 0.7679 0.5522
S: 0.5578 0.2596 0.2046
S: 0.5727 0.2549 0.8735
S: 0.5787 0.2791 0.5364
S: 0.7988 0.7741 0.7043
S: 0.8090 0.7535 0.0372
S: 0.8130 0.7678 0.3731
S: 0.8563 0.2586 0.7204
S: 0.8888 0.2536 0.0603
S: 0.9172 0.2785 0.3877

Record 2
Structure and simulated powder X-ray diffraction pattern of Li10ZnP4S16 (the GGA-PBE geometry in the Materials Project; copper Kα).
Neutral-atom scattering factors, no anomalous dispersion.

Most intense lines, 2θ from 10° to 90°, most intense first:
2θ/deg  d/Å  I (rel.)  hkl
28.9  3.092  100  0 0 4
18.3  4.838  78  0 1 2
27.3  3.264  58  2 0 0
30.3  2.947  57  1 2 -2
26.8  3.325  56  1 -2 0
31.0  2.887  54  2 0 2
17.7  5.022  52  1 1 0
26.6  3.353  44  1 2 0
52.2  1.753  34  1 2 -6
17.8  4.975  33  1 -1 0
46.8  1.943  33  0 4 0
47.7  1.906  32  3 2 0

Atomic structure:
Lattice parameters (Å, degrees): 6.5287 7.7707 12.3667 89.80 89.91 89.45
Space group P1 (No. 1)
One atom of each set of equivalent atoms:
Li: 0.0000 0.0000 0.0000
Li: 0.0013 0.5138 0.0042
Li: 0.3584 0.5135 0.2565
Li: 0.3644 0.0244 0.2497
Li: 0.3725 0.5082 0.7496
Li: 0.3748 0.0173 0.7509
Li: 0.5440 0.2636 0.0069
Li: 0.5467 0.2998 0.5047
Li: 0.8344 0.7430 0.2622
Li: 0.8382 0.7510 0.7535
Zn: 0.9928 0.0177 0.5032
P: 0.5016 0.7757 0.4999
P: 0.5057 0.7615 0.0030
P: 0.8636 0.2657 0.2560
P: 0.8736 0.2556 0.7503
S: 0.0044 0.0351 0.3102
S: 0.0087 0.4676 0.3212
S: 0.0158 0.0340 0.8032
S: 0.0183 0.4699 0.8094
S: 0.3522 0.5686 0.5567
S: 0.3537 0.0027 0.5525
S: 0.3583 0.9823 0.0545
S: 0.3588 0.5455 0.0590
S: 0.4933 0.7723 0.3337
S: 0.5001 0.7595 0.8363
S: 0.5636 0.2654 0.3064
S: 0.5754 0.2603 0.8039
S: 0.8014 0.7591 0.0602
S: 0.8044 0.7713 0.5527
S: 0.8833 0.2565 0.0894
S: 0.8955 0.2806 0.5827

Record 3
Structure and simulated powder X-ray diffraction pattern of Li4ZnP2S8 (the GGA-PBE geometry in the Materials Project; copper Kα).
Neutral-atom scattering factors, no anomalous dispersion.

Most intense lines, 2θ from 10° to 90°, most intense first:
2θ/deg  d/Å  I (rel.)  hkl
29.0  3.082  100  1 2 4
18.1  4.913  60  1 1 0
50.0  1.826  32  0 4 8
44.6  2.033  21  2 0 8
54.0  1.698  16  3 2 -4
45.5  1.992  13  2 3 -4
36.2  2.482  12  2 1 4
58.7  1.573  10  3 1 8
63.3  1.469  8  1 6 -4
18.5  4.808  7  1 1 1
80.7  1.191  6  3 6 4
14.9  5.951  5  0 1 3

Atomic structure:
Lattice parameters (Å, degrees): 5.7572 9.4516 22.9792 90.00 90.03 90.00
Space group P2_1 (No. 4)
One atom of each set of equivalent atoms:
Li: 0.2471 0.0000 0.0615
Li: 0.2477 0.9995 0.3108
Li: 0.2500 0.7550 0.4378
Li: 0.2513 0.0070 0.8140
Li: 0.2508 0.5025 0.5625
Li: 0.2505 0.5095 0.3116
Li: 0.2522 0.0058 0.5636
Li: 0.2527 0.7548 0.6834
Zn: 0.2502 0.5032 0.0626
Zn: 0.2525 0.4959 0.8131
P: 0.2415 0.2525 0.6873
P: 0.2492 0.2532 0.4371
P: 0.2506 0.2525 0.9379
P: 0.2599 0.2522 0.1872
S: 0.0262 0.1387 0.9901
S: 0.0296 0.1341 0.2390
S: 0.0347 0.3751 0.6339
S: 0.0391 0.3647 0.8820
S: 0.0405 0.1313 0.4898
S: 0.0414 0.1334 0.7399
S: 0.0415 0.3764 0.3843
S: 0.0464 0.3665 0.1325
S: 0.4562 0.3738 0.7407
S: 0.4568 0.1298 0.3845
S: 0.4596 0.3662 0.9941
S: 0.4600 0.3755 0.4891
S: 0.4640 0.3692 0.2416
S: 0.4648 0.1387 0.6347
S: 0.4702 0.1315 0.1345
S: 0.4758 0.1411 0.8854

Record 4
Structure and simulated powder X-ray diffraction pattern of Li4ZnP2S8 (the GGA-PBE geometry in the Materials Project; copper Kα).
Neutral-atom scattering factors, no anomalous dispersion.

Most intense lines, 2θ from 10° to 90°, most intense first:
2θ/deg  d/Å  I (rel.)  hkl
28.9  3.093  100  1 -1 0
18.0  4.928  93  1 0 1
29.0  3.080  49  1 1 -2
29.2  3.063  44  1 0 3
18.1  4.892  27  0 0 2
44.2  2.050  21  2 0 -2
44.6  2.033  20  2 2 4
17.8  4.989  18  1 1 1
50.0  1.825  16  2 3 -1
49.8  1.830  16  0 3 1
50.1  1.822  15  2 -1 3
50.3  1.812  15  0 1 -5

Atomic structure:
Lattice parameters (Å, degrees): 5.7843 6.2396 10.1974 79.86 73.97 62.53
Space group P1 (No. 1)
One atom of each set of equivalent atoms:
Li: 0.0000 0.0000 0.0000
Li: 0.1257 0.1317 0.6361
Li: 0.3622 0.3824 0.8836
Li: 0.6334 0.6030 0.1535
Zn: 0.8991 0.8498 0.4027
P: 0.2752 0.2323 0.2668
P: 0.7416 0.7444 0.7732
S: 0.0154 0.8108 0.6099
S: 0.2034 0.9545 0.2220
S: 0.3699 0.0346 0.8113
S: 0.4488 0.1519 0.4302
S: 0.5122 0.3118 0.0956
S: 0.7086 0.4583 0.7290
S: 0.8992 0.5117 0.3248
S: 0.9082 0.6773 0.9406

Record 5
Structure and simulated powder X-ray diffraction pattern of Li8PSe6 (the GGA-PBE geometry in the Materials Project; copper Kα).
Neutral-atom scattering factors, no anomalous dispersion.

Most intense lines, 2θ from 10° to 90°, most intense first:
2θ/deg  d/Å  I (rel.)  hkl
27.9  3.193  100  1 2 1
29.0  3.075  83  2 0 2
27.5  3.249  60  1 0 3
48.1  1.890  46  2 2 4
23.5  3.781  43  1 1 2
44.5  2.036  32  3 2 1
41.7  2.166  27  1 3 2
48.7  1.868  23  4 0 0
23.8  3.737  23  2 0 0
57.7  1.597  20  4 2 2
44.2  2.050  18  3 0 3
43.5  2.079  17  1 0 5

Atomic structure:
Lattice parameters (Å, degrees): 7.4736 7.4736 10.8229 90.00 90.00 90.00
Space group I-4 (No. 82)
One atom of each set of equivalent atoms:
Li: 0.0157 0.3286 0.0148
Li: 0.1663 0.8043 0.2111
P: 0.0000 0.0000 0.5000
Se: 0.0000 0.0000 0.0000
Se: 0.0000 0.5000 0.2500
Se: 0.0064 0.7354 0.6181

Record 6
Structure and simulated powder X-ray diffraction pattern of Li5SiP3 (the GGA-PBE geometry in the Materials Project; copper Kα).
Neutral-atom scattering factors, no anomalous dispersion.

Most intense lines, 2θ from 10° to 90°, most intense first:
2θ/deg  d/Å  I (rel.)  hkl
25.6  3.483  100  1 1 -2
43.4  2.086  67  4 2 -2
26.8  3.329  59  3 1 0
21.9  4.058  25  0 0 2
18.6  4.781  21  1 1 -1
45.0  2.013  20  6 0 0
14.7  6.039  20  2 0 0
51.6  1.772  16  3 3 0
52.6  1.741  15  7 1 -2
41.9  2.154  15  2 0 -4
21.3  4.176  12  1 1 1
52.4  1.745  10  5 1 2

Atomic structure:
Lattice parameters (Å, degrees): 12.8087 5.9195 8.6164 90.00 109.46 90.00
Space group Cc (No. 9)
One atom of each set of equivalent atoms:
Li: 0.0000 0.2160 0.0000
Li: 0.1617 0.2448 0.8098
Li: 0.1757 0.2598 0.3061
Li: 0.3249 0.2355 0.6361
Li: 0.3455 0.2586 0.1488
Si: 0.0011 0.3228 0.4234
P: 0.0016 0.0358 0.2663
P: 0.1580 0.4887 0.5534
P: 0.3435 0.0139 0.8999

Record 7
Structure and simulated powder X-ray diffraction pattern of SrLi4P2 (the GGA-PBE geometry in the Materials Project; copper Kα).
Neutral-atom scattering factors, no anomalous dispersion.

Most intense lines, 2θ from 10° to 90°, most intense first:
2θ/deg  d/Å  I (rel.)  hkl
28.4  3.145  100  1 0 4
11.3  7.854  72  0 0 3
24.2  3.674  58  1 0 1
42.1  2.148  50  1 1 0
39.0  2.309  47  0 1 8
30.6  2.920  41  0 1 5
36.0  2.496  26  1 0 7
64.3  1.449  21  1 1 12
55.3  1.660  18  1 1 9
51.5  1.774  17  0 2 4
43.7  2.071  17  1 1 3
74.8  1.269  16  1 2 8

Atomic structure:
Lattice parameters (Å, degrees): 4.2950 4.2950 23.5631 90.00 90.00 120.00
Space group R-3m (No. 166, hexagonal axes)
One atom of each set of equivalent atoms:
Sr: 0.0000 0.0000 0.0000
Li: 0.0000 0.0000 0.1377
Li: 0.0000 0.0000 0.4294
P: 0.0000 0.0000 0.2461

Record 8
Structure and simulated powder X-ray diffraction pattern of Li11TiP5 (the GGA-PBE geometry in the Materials Project; copper Kα).
Neutral-atom scattering factors, no anomalous dispersion.

Most intense lines, 2θ from 10° to 90°, most intense first:
2θ/deg  d/Å  I (rel.)  hkl
26.2  3.402  100  1 1 1
43.2  2.095  41  5 1 0
43.0  2.102  41  1 1 -4
26.0  3.422  29  2 0 -3
44.0  2.056  21  0 2 0
43.8  2.068  19  6 0 -4
13.2  6.715  16  2 0 -1
51.8  1.764  14  2 2 -3
14.6  6.086  13  2 0 0
63.8  1.458  12  6 2 -4
18.1  4.900  11  2 0 -2
50.5  1.809  11  6 0 1

Atomic structure:
Lattice parameters (Å, degrees): 13.7775 4.1126 10.2705 90.00 117.93 90.00
Space group Cm (No. 8)
One atom of each set of equivalent atoms:
Li: 0.0000 0.0000 0.0000
Li: 0.0030 0.0000 0.7473
Li: 0.0897 0.5000 0.6618
Li: 0.0938 0.5000 0.1736
Li: 0.1924 0.0000 0.0186
Li: 0.2790 0.5000 0.9276
Li: 0.2893 0.5000 0.1780
Li: 0.3118 0.5000 0.4560
Li: 0.3865 0.0000 0.8417
Li: 0.4158 0.0000 0.3579
Li: 0.4966 0.5000 0.2480
Ti: 0.1921 0.0000 0.5386
P: 0.0098 0.0000 0.4994
P: 0.0871 0.5000 0.9143
P: 0.2035 0.0000 0.3134
P: 0.2831 0.5000 0.6773
P: 0.3905 0.0000 0.0943

Record 9
Structure and simulated powder X-ray diffraction pattern of Li5TiP3 (the GGA-PBE geometry in the Materials Project; copper Kα).
Neutral-atom scattering factors, no anomalous dispersion.

Most intense lines, 2θ from 10° to 90°, most intense first:
2θ/deg  d/Å  I (rel.)  hkl
26.4  3.378  100  3 1 0
43.7  2.071  68  2 2 2
18.9  4.699  36  1 1 -1
14.3  6.199  34  2 0 0
22.8  3.909  19  0 0 2
21.5  4.142  19  1 1 1
44.0  2.059  18  2 0 -4
43.8  2.066  17  6 0 0
52.0  1.759  14  5 1 -4
51.6  1.771  13  1 3 -2
80.7  1.191  10  6 2 -6
63.8  1.459  10  8 0 -4

Atomic structure:
Lattice parameters (Å, degrees): 13.0615 5.8811 8.2373 90.00 108.35 90.00
Space group C2/c (No. 15)
One atom of each set of equivalent atoms:
Li: 0.0000 0.2336 0.2500
Li: 0.1717 0.2432 0.0962
Li: 0.1716 0.2544 0.5754
Ti: 0.0000 0.2667 0.7500
P: 0.0000 0.5000 0.0000
P: 0.1539 0.0294 0.8265